1.
For ZnFe2O4, a crystal structure in the Materials Project, relaxed with GGA+U gives the simulated powder X-ray diffraction pattern in this record (Cu Kα).
Peak positions follow from Bragg's law for the DFT cell and can differ from measured ones.

Main lines, by intensity (10 to 80 degrees two-theta):
h k l	two_theta	d [Å]	intensity
3 0 2	34.39	2.608	1000
1 1 2	36.65	2.452	726
0 0 4	34.59	2.593	457
1 1 3	41.68	2.167	365
2 1 4	51.25	1.783	259
3 1 3	50.90	1.794	220

```
data_ZnFe2O4
_symmetry_space_group_name_H-M 'P n m a'
_symmetry_Int_Tables_number 62
_cell_length_a 9.050
_cell_length_b 2.922
_cell_length_c 10.373
_cell_angle_alpha 90.00
_cell_angle_beta 90.00
_cell_angle_gamma 90.00
loop_
_symmetry_equiv_pos_as_xyz
'x,y,z'
'-x,-y,-z'
'-x+1/2,-y,z+1/2'
'x+1/2,y,-z+1/2'
'x+1/2,-y+1/2,-z+1/2'
'-x+1/2,y+1/2,z+1/2'
'-x,y+1/2,-z'
'x,-y+1/2,z'
loop_
_atom_site_label
_atom_site_fract_x
_atom_site_fract_y
_atom_site_fract_z
Zn1 0.247 0.250 0.154
Fe1 0.063 0.250 0.380
Fe2 0.086 0.250 0.901
O1 0.037 0.750 0.789
O2 0.094 0.250 0.573
O3 0.117 0.750 0.034
O4 0.209 0.750 0.326
```

=====

2.
For Na3VO3, a crystal structure in the Materials Project, relaxed with GGA+U gives the simulated powder X-ray diffraction pattern in this record (Cu Kα).
Peak positions follow from Bragg's law for the DFT cell and can differ from measured ones.

Main lines, by intensity (10 to 80 degrees two-theta):
h k l	two_theta	d [Å]	intensity
2 -1 0	35.33	2.541	1000
1 0 2	34.49	2.600	849
2 1 0	34.03	2.635	837
1 2 2	36.77	2.444	826
1 1 -2	43.78	2.068	822
1 0 -1	21.38	4.156	773

```
data_Na3VO3
_symmetry_space_group_name_H-M 'P -1'
_symmetry_Int_Tables_number 2
_cell_length_a 5.900
_cell_length_b 6.021
_cell_length_c 6.481
_cell_angle_alpha 63.84
_cell_angle_beta 89.25
_cell_angle_gamma 87.44
loop_
_symmetry_equiv_pos_as_xyz
'x,y,z'
'-x,-y,-z'
loop_
_atom_site_label
_atom_site_fract_x
_atom_site_fract_y
_atom_site_fract_z
Na1 0.065 0.261 0.449
Na2 0.138 0.277 0.984
Na3 0.429 0.768 0.747
V1 0.373 0.689 0.310
O1 0.239 0.605 0.096
O2 0.255 0.972 0.342
O3 0.306 0.425 0.630
```